# Li4Fe3Co5O16
Simulated powder diffractogram, a wavelength of 1.5418 Å. Input: the PBE+U geometry in Alexandria.

Main lines, low angle first (15 to 90 degrees two-theta):
2θ/deg  Rel. int.
18.15  100.0
37.07  30.8
38.45  6.1
43.98  17.0
44.54  33.2
48.01  5.9
57.24  5.1
58.11  9.3
62.91  8.7
65.84  8.7

Atomic structure:
Unit cell a=5.186 b=2.846 c=18.560 alpha=90.00 beta=94.28 gamma=90.00
Atoms (fractional coordinates):
Li  0.000  0.000  0.000
Li  0.250  0.000  0.747
Li  0.500  0.000  0.500
Li  0.750  0.000  0.253
Fe  0.373  0.000  0.127
Fe  0.500  0.500  0.000
Fe  0.627  0.000  0.873
Co  0.000  0.500  0.500
Co  0.126  0.000  0.376
Co  0.249  0.500  0.252
Co  0.751  0.500  0.748
Co  0.874  0.000  0.624
O  0.017  0.500  0.684
O  0.103  0.000  0.196
O  0.141  0.000  0.557
O  0.227  0.500  0.064
O  0.270  0.500  0.438
O  0.352  0.000  0.942
O  0.392  0.000  0.310
O  0.480  0.500  0.810
O  0.520  0.500  0.190
O  0.608  0.000  0.690
O  0.648  0.000  0.058
O  0.730  0.500  0.562
O  0.773  0.500  0.936
O  0.859  0.000  0.443
O  0.897  0.000  0.804
O  0.983  0.500  0.316